Simulated powder diffractogram
Compound: Pa2CrCdO8
Radiation: Cu Kα (λ = 1.5418 Å)
Structure: a structure optimized by DFT (GGA+U)
Lines closer than 0.1° are merged.

Crystal structure
```
data_Pa2CrCdO8
_cell_length_a 5.3169
_cell_length_b 5.3169
_cell_length_c 10.9932
_cell_angle_alpha 90.00
_cell_angle_beta 90.00
_cell_angle_gamma 90.00
_symmetry_space_group_name_H-M 'I -4'
_symmetry_Int_Tables_number 82
loop_
_symmetry_equiv_pos_as_xyz
'x,y,z'
'y,-x,-z'
'-x,-y,z'
'-y,x,-z'
'x+1/2,y+1/2,z+1/2'
'y+1/2,-x+1/2,-z+1/2'
'-x+1/2,-y+1/2,z+1/2'
'-y+1/2,x+1/2,-z+1/2'
loop_
_atom_site_label
_atom_site_type_symbol
_atom_site_fract_x
_atom_site_fract_y
_atom_site_fract_z
Pa1 Pa 0.0000 0.0000 0.0000
Pa2 Pa 0.0000 0.5000 0.2500
Cr1 Cr 0.0000 0.5000 0.7500
Cd1 Cd 0.0000 0.0000 0.5000
O1 O 0.1832 0.2694 0.8381
O2 O 0.1887 0.3025 0.0972
```

Peak list (8 most intense, 2θ = 10–90°, low angle first)
Position (°2θ), Rel. int.
18.54, 30.4
28.77, 100.0
32.58, 13.1
33.71, 22.8
47.59, 30.9
48.42, 15.0
55.82, 16.0
57.30, 29.5



Simulated powder diffractogram
Compound: Pm2CrCdO6
Radiation: Cu Kα (λ = 1.5418 Å)
Structure: a structure optimized by DFT (GGA+U)
Lines closer than 0.1° are merged.

Crystal structure
```
data_Pm2CrCdO6
_cell_length_a 5.3882
_cell_length_b 5.3882
_cell_length_c 5.1037
_cell_angle_alpha 90.00
_cell_angle_beta 90.00
_cell_angle_gamma 90.00
_symmetry_space_group_name_H-M 'P 4 m m'
_symmetry_Int_Tables_number 99
loop_
_symmetry_equiv_pos_as_xyz
'x,y,z'
'-y,x,z'
'-x,-y,z'
'y,-x,z'
'-x,y,z'
'y,x,z'
'x,-y,z'
'-y,-x,z'
loop_
_atom_site_label
_atom_site_type_symbol
_atom_site_fract_x
_atom_site_fract_y
_atom_site_fract_z
Pm1 Pm 0.0000 0.5000 0.0000
Cr1 Cr 0.0000 0.0000 0.6047
Cd1 Cd 0.5000 0.5000 0.5470
O1 O 0.0000 0.0000 0.2474
O2 O 0.2335 0.2335 0.7382
O3 O 0.5000 0.5000 0.1327
```

Peak list (8 most intense, 2θ = 10–90°, low angle first)
Position (°2θ), Rel. int.
17.38, 15.5
29.25, 100.0
33.26, 34.7
42.64, 11.0
47.74, 20.2
49.18, 26.0
56.98, 30.0
79.61, 14.4



Simulated powder diffractogram
Compound: CrCdSbO6
Radiation: Cu Kα (λ = 1.5418 Å)
Structure: a structure optimized by DFT (GGA+U)
Lines closer than 0.1° are merged.

Crystal structure
```
data_CrCdSbO6
_cell_length_a 4.7666
_cell_length_b 4.7666
_cell_length_c 9.5683
_cell_angle_alpha 90.00
_cell_angle_beta 90.00
_cell_angle_gamma 90.00
_symmetry_space_group_name_H-M 'P 42 n m'
_symmetry_Int_Tables_number 102
loop_
_symmetry_equiv_pos_as_xyz
'x,y,z'
'-y+1/2,x+1/2,z+1/2'
'-x,-y,z'
'y+1/2,-x+1/2,z+1/2'
'-x+1/2,y+1/2,z+1/2'
'y,x,z'
'x+1/2,-y+1/2,z+1/2'
'-y,-x,z'
loop_
_atom_site_label
_atom_site_type_symbol
_atom_site_fract_x
_atom_site_fract_y
_atom_site_fract_z
Cr1 Cr 0.0000 0.0000 0.0000
Cd1 Cd 0.0000 0.0000 0.3363
Sb1 Sb 0.0000 0.0000 0.6728
O1 O 0.1766 0.1766 0.8451
O2 O 0.2099 0.2099 0.1513
O3 O 0.2230 0.2230 0.5246
```

Peak list (8 most intense, 2θ = 10–90°, low angle first)
Position (°2θ), Rel. int.
26.44, 100.0
33.82, 79.4
37.75, 18.9
51.57, 63.3
54.45, 17.0
61.52, 14.1
64.66, 14.3
65.64, 20.3



Simulated powder diffractogram
Compound: SmCr2CdO8
Radiation: Cu Kα (λ = 1.5418 Å)
Structure: a structure optimized by DFT (GGA+U)
Lines closer than 0.1° are merged.

Crystal structure
```
data_SmCr2CdO8
_cell_length_a 7.3292
_cell_length_b 7.3292
_cell_length_c 6.3375
_cell_angle_alpha 90.00
_cell_angle_beta 90.00
_cell_angle_gamma 90.00
_symmetry_space_group_name_H-M 'I -4 m 2'
_symmetry_Int_Tables_number 119
_symmetry_space_group_name_Hall 'I -4 -2'
loop_
_atom_site_label
_atom_site_type_symbol
_atom_site_fract_x
_atom_site_fract_y
_atom_site_fract_z
Sm1 Sm 0.0000 0.0000 0.0000
Cr1 Cr 0.0000 0.0000 0.5000
Cr2 Cr 0.0000 0.5000 0.7500
Cd1 Cd 0.0000 0.5000 0.2500
O1 O 0.0000 0.1780 0.3362
O2 O 0.0000 0.3142 0.9170
```

Peak list (8 most intense, 2θ = 10–90°, low angle first)
Position (°2θ), Rel. int.
18.51, 23.7
24.29, 100.0
33.14, 67.2
34.62, 20.3
48.67, 55.5
49.76, 15.4
61.10, 16.2
72.17, 13.1